The following is a calculated powder X-ray diffraction pattern of Ac3Hg2Ge. It was derived from the GGA-PBE geometry in Alexandria, using Cu Ka.
Peak positions follow from Bragg's law for the DFT cell and can differ from measured ones.

Atomic structure:
abc: 8.668 8.668 4.374
angles: 96.98 96.98 41.60
Positions (direct):
Ac 0.000 0.000 0.000
Ac 0.358 0.358 0.444
Ac 0.642 0.642 0.556
Hg 0.196 0.196 0.881
Hg 0.804 0.804 0.119
Ge 0.500 0.500 0.000

Most intense lines, 2θ = 5–70°, in order of falling intensity:
| Position (°2θ) | Rel. int. |
| --- | --- |
| 29.01 | 100 |
| 28.25 | 94 |
| 26.31 | 81 |
| 40.94 | 71 |
| 31.71 | 58 |
| 31.40 | 54 |
| 43.94 | 30 |
| 33.46 | 29 |


The following is a calculated powder X-ray diffraction pattern of Ac3HgGe2. It was derived from the GGA-PBE geometry in Alexandria, using Cu Ka.
Peak positions follow from Bragg's law for the DFT cell and can differ from measured ones.

Atomic structure:
abc: 8.906 8.906 4.697
angles: 90.00 90.00 149.85
Positions (direct):
Ac 0.000 0.000 0.000
Ac 0.169 0.831 0.500
Ac 0.831 0.169 0.500
Hg 0.500 0.500 0.500
Ge 0.340 0.660 0.000
Ge 0.660 0.340 0.000

Most intense lines, 2θ = 5–70°, in order of falling intensity:
| Position (°2θ) | Rel. int. |
| --- | --- |
| 31.27 | 100 |
| 55.58 | 16 |
| 38.33 | 12 |
| 38.88 | 11 |
| 50.22 | 11 |
| 50.66 | 11 |
| 64.95 | 10 |
| 65.27 | 10 |


The following is a calculated powder X-ray diffraction pattern of AcHgGe2Pd5. It was derived from the GGA-PBE geometry in Alexandria, using Cu Ka.
Peak positions follow from Bragg's law for the DFT cell and can differ from measured ones.

Atomic structure:
abc: 4.694 4.694 7.971
angles: 90.00 90.00 90.00
Positions (direct):
Ac 0.000 0.000 0.000
Hg 0.000 0.000 0.500
Ge 0.500 0.500 0.347
Ge 0.500 0.500 0.653
Pd 0.000 0.500 0.249
Pd 0.000 0.500 0.751
Pd 0.500 0.000 0.249
Pd 0.500 0.000 0.751
Pd 0.500 0.500 0.000

Most intense lines, 2θ = 5–70°, in order of falling intensity:
| Position (°2θ) | Rel. int. |
| --- | --- |
| 35.19 | 100 |
| 38.35 | 59 |
| 67.31 | 30 |
| 29.40 | 25 |
| 55.36 | 20 |
| 60.99 | 18 |
| 49.04 | 13 |
| 45.52 | 11 |


The following is a calculated powder X-ray diffraction pattern of Ac3HgGe2Pt6. It was derived from the GGA-PBE geometry in Alexandria, using Cu Ka.
Peak positions follow from Bragg's law for the DFT cell and can differ from measured ones.

Atomic structure:
abc: 5.760 5.760 10.258
angles: 90.00 90.00 120.00
Positions (direct):
Ac 0.000 0.000 0.000
Ac 0.333 0.667 0.613
Ac 0.667 0.333 0.387
Hg 0.000 0.000 0.500
Ge 0.333 0.667 0.095
Ge 0.667 0.333 0.905
Pt 0.164 0.329 0.274
Pt 0.164 0.836 0.274
Pt 0.329 0.164 0.726
Pt 0.671 0.836 0.274
Pt 0.836 0.164 0.726
Pt 0.836 0.671 0.726

Most intense lines, 2θ = 5–70°, in order of falling intensity:
| Position (°2θ) | Rel. int. |
| --- | --- |
| 37.10 | 100 |
| 40.21 | 85 |
| 35.76 | 65 |
| 39.51 | 54 |
| 8.62 | 44 |
| 24.90 | 38 |
| 64.74 | 34 |
| 61.00 | 29 |


The following is a calculated powder X-ray diffraction pattern of AcZn2HgGe. It was derived from the GGA-PBE geometry in Alexandria, using Cu Ka.
Peak positions follow from Bragg's law for the DFT cell and can differ from measured ones.

Atomic structure:
abc: 6.425 6.425 6.425
angles: 139.15 138.89 59.34
Positions (direct):
Ac 0.000 0.000 0.000
Zn 0.620 0.620 0.000
Zn 0.748 0.248 0.500
Hg 0.245 0.745 0.500
Ge 0.395 0.395 0.000

Most intense lines, 2θ = 5–70°, in order of falling intensity:
| Position (°2θ) | Rel. int. |
| --- | --- |
| 32.40 | 100 |
| 31.20 | 43 |
| 39.97 | 22 |
| 40.22 | 21 |
| 45.34 | 21 |
| 67.84 | 18 |
| 21.24 | 15 |
| 58.00 | 15 |


The following is a calculated powder X-ray diffraction pattern of Ac4HoGe5. It was derived from the GGA-PBE geometry in Alexandria, using Cu Ka.
Peak positions follow from Bragg's law for the DFT cell and can differ from measured ones.

Atomic structure:
abc: 7.795 7.795 7.795
angles: 99.55 99.55 131.92
Positions (direct):
Ac 0.093 0.301 0.394
Ac 0.301 0.907 0.209
Ac 0.699 0.093 0.791
Ac 0.907 0.699 0.606
Ho 0.499 0.499 0.000
Ge 0.224 0.595 0.819
Ge 0.405 0.224 0.630
Ge 0.595 0.776 0.370
Ge 0.776 0.405 0.181
Ge 0.998 0.998 0.000

Most intense lines, 2θ = 5–70°, in order of falling intensity:
| Position (°2θ) | Rel. int. |
| --- | --- |
| 28.05 | 100 |
| 40.09 | 76 |
| 24.23 | 43 |
| 49.64 | 27 |
| 47.39 | 24 |
| 65.59 | 22 |
| 65.72 | 12 |
| 63.77 | 11 |